Pm2CdGe4Pd3: theoretical powder X-ray diffraction pattern (CuKα), based on a PBE-relaxed structure.

Top 6 peaks for 10° ≤ 2θ ≤ 90°, most intense first:
33.9°, I 100.0; 42.2°, I 57.5; 32.4°, I 54.2; 47.0°, I 27.3; 54.2°, I 25.0; 71.8°, I 23.6

Structural model:
```
Pm2CdGe4Pd3
1.0
4.285 0.000 0.000
0.000 4.285 0.000
0.000 0.000 10.822
Pm Cd Ge Pd
2 1 4 3
direct
0.000 0.500 0.243
0.500 0.000 0.757
0.000 0.000 0.500
0.000 0.000 0.000
0.000 0.500 0.649
0.500 0.000 0.351
0.500 0.500 0.000
0.000 0.500 0.875
0.500 0.000 0.125
0.500 0.500 0.500
```